Diffraction record for KLiBO2. The X-ray diffraction stick pattern is theoretical, not measured: it uses a cell relaxed with GGA-PBE and CuKα.
Lines closer than 0.1° are merged.

Structure:
```
KLiBO2
1.0
7.472 0.000 0.000
0.000 5.093 0.000
-2.552 0.000 5.675
K Li B O
2 2 2 4
Direct
0.000 0.242 0.250
0.000 0.758 0.750
0.500 0.500 0.250
0.500 0.500 0.750
0.500 0.000 0.000
0.500 0.000 0.500
0.437 0.236 0.469
0.437 0.764 0.969
0.563 0.236 0.031
0.563 0.764 0.531
```

Most intense lines, 2θ = 15–90°, by angle:
h k l	Position (°2θ)	I/Imax
1 1 -1	23.50	100
2 0 0	26.15	52
1 0 -2	28.69	40
0 2 0	35.24	13
2 1 1	40.14	22
3 1 -1	40.31	22
1 2 -2	46.06	15
2 1 -3	47.82	12